Entry 1:
ZnS: computed X-ray diffraction stick pattern (Cu Kα (λ = 1.5418 Å)), based on a structure optimized by DFT (GGA-PBE).

Crystal structure
```
ZnS
1.0
1.9297 1.1141 31.4708
-1.9297 1.1141 31.4708
0.0000 -2.2282 31.4708
Zn S
10 10
Direct
0.0000 0.0000 0.0000
0.0667 0.0667 0.0667
0.1334 0.1334 0.1334
0.2000 0.2000 0.2000
0.2667 0.2667 0.2667
0.3667 0.3667 0.3667
0.5000 0.5000 0.5000
0.6334 0.6334 0.6334
0.7667 0.7667 0.7667
0.9000 0.9000 0.9000
0.0417 0.0417 0.0417
0.1084 0.1084 0.1084
0.1751 0.1751 0.1751
0.2417 0.2417 0.2417
0.3417 0.3417 0.3417
0.4750 0.4750 0.4750
0.6084 0.6084 0.6084
0.7417 0.7417 0.7417
0.8750 0.8750 0.8750
0.9750 0.9750 0.9750
```

Most intense lines, 10° ≤ 2θ ≤ 90°, in order of rising 2θ:
2θ 26.70, I 24.7; 2θ 27.49, I 37.5; 2θ 27.74, I 78.5; 2θ 28.36, I 87.9; 2θ 29.84, I 44.6; 2θ 30.74, I 28.4; 2θ 45.49, I 26.6; 2θ 47.10, I 100.0; 2θ 50.55, I 28.1; 2θ 55.89, I 66.9



Entry 2:
ZnS: computed X-ray diffraction stick pattern (Cu Kα (λ = 1.5418 Å)), based on a structure optimized by DFT (GGA-PBE).

Crystal structure
```
ZnS
1.0
3.8520 0.0000 0.0000
-1.9260 3.3359 0.0000
0.0000 0.0000 44.1029
Zn S
14 14
Direct
0.0000 0.0000 0.0000
0.0000 0.0000 0.1429
0.0000 0.0000 0.2857
0.0000 0.0000 0.5000
0.0000 0.0000 0.6429
0.0000 0.0000 0.8571
0.3333 0.6667 0.3571
0.3333 0.6667 0.5714
0.3333 0.6667 0.7857
0.6667 0.3333 0.0714
0.6667 0.3333 0.2143
0.6667 0.3333 0.4286
0.6667 0.3333 0.7143
0.6667 0.3333 0.9286
0.0000 0.0000 0.0536
0.0000 0.0000 0.1964
0.0000 0.0000 0.3393
0.0000 0.0000 0.5535
0.0000 0.0000 0.6964
0.0000 0.0000 0.9107
0.3333 0.6667 0.4107
0.3333 0.6667 0.6250
0.3333 0.6667 0.8393
0.6667 0.3333 0.1250
0.6667 0.3333 0.2679
0.6667 0.3333 0.4821
0.6667 0.3333 0.7678
0.6667 0.3333 0.9821
```

Most intense lines, 10° ≤ 2θ ≤ 90°, in order of rising 2θ:
2θ 26.77, I 43.3; 2θ 27.94, I 55.0; 2θ 28.33, I 82.3; 2θ 28.61, I 40.8; 2θ 29.40, I 65.9; 2θ 31.34, I 25.7; 2θ 47.19, I 100.0; 2θ 49.55, I 36.4; 2θ 53.32, I 22.8; 2θ 55.96, I 67.1



Entry 3:
ZnS: computed X-ray diffraction stick pattern (Cu Kα (λ = 1.5418 Å)), based on a structure optimized by DFT (GGA-PBE).

Crystal structure
```
ZnS
1.0
1.9286 1.1135 18.8813
-1.9286 1.1135 18.8813
0.0000 -2.2270 18.8813
Zn S
6 6
Direct
0.0000 0.0000 0.0000
0.1111 0.1111 0.1111
0.2223 0.2223 0.2223
0.3889 0.3889 0.3889
0.6111 0.6111 0.6111
0.8334 0.8334 0.8334
0.0695 0.0695 0.0695
0.1807 0.1807 0.1807
0.3473 0.3473 0.3473
0.5695 0.5695 0.5695
0.7917 0.7917 0.7917
0.9584 0.9584 0.9584
```

Most intense lines, 10° ≤ 2θ ≤ 90°, in order of rising 2θ:
2θ 27.43, I 28.2; 2θ 27.84, I 100.0; 2θ 28.36, I 81.5; 2θ 28.92, I 25.7; 2θ 29.57, I 56.5; 2θ 31.08, I 26.9; 2θ 45.77, I 34.8; 2θ 47.12, I 100.0; 2θ 49.98, I 32.9; 2θ 55.92, I 66.7



Entry 4:
ZnS: computed X-ray diffraction stick pattern (Cu Kα (λ = 1.5418 Å)), based on a structure optimized by DFT (GGA-PBE).

Crystal structure
```
ZnS
1.0
3.8531 0.0000 0.0000
-1.9265 3.3368 0.0000
0.0000 0.0000 88.1544
Zn S
28 28
Direct
0.0000 0.0000 0.0000
0.0000 0.0000 0.0714
0.0000 0.0000 0.1786
0.0000 0.0000 0.2500
0.0000 0.0000 0.3571
0.0000 0.0000 0.4643
0.0000 0.0000 0.5714
0.0000 0.0000 0.6786
0.0000 0.0000 0.7857
0.0000 0.0000 0.8929
0.3333 0.6667 0.0357
0.3333 0.6667 0.1429
0.3333 0.6667 0.2857
0.3333 0.6667 0.3929
0.3333 0.6667 0.5357
0.3333 0.6667 0.6072
0.3333 0.6667 0.7143
0.3333 0.6667 0.8214
0.3333 0.6667 0.9286
0.6667 0.3333 0.1071
0.6667 0.3333 0.2143
0.6667 0.3333 0.3214
0.6667 0.3333 0.4286
0.6667 0.3333 0.5000
0.6667 0.3333 0.6429
0.6667 0.3333 0.7500
0.6667 0.3333 0.8571
0.6667 0.3333 0.9643
0.0000 0.0000 0.0268
0.0000 0.0000 0.0982
0.0000 0.0000 0.2053
0.0000 0.0000 0.2768
0.0000 0.0000 0.3839
0.0000 0.0000 0.4911
0.0000 0.0000 0.5982
0.0000 0.0000 0.7054
0.0000 0.0000 0.8125
0.0000 0.0000 0.9196
0.3333 0.6667 0.0625
0.3333 0.6667 0.1696
0.3333 0.6667 0.3125
0.3333 0.6667 0.4197
0.3333 0.6667 0.5625
0.3333 0.6667 0.6339
0.3333 0.6667 0.7411
0.3333 0.6667 0.8482
0.3333 0.6667 0.9554
0.6667 0.3333 0.1339
0.6667 0.3333 0.2411
0.6667 0.3333 0.3482
0.6667 0.3333 0.4553
0.6667 0.3333 0.5268
0.6667 0.3333 0.6696
0.6667 0.3333 0.7768
0.6667 0.3333 0.8839
0.6667 0.3333 0.9911
```

Most intense lines, 10° ≤ 2θ ≤ 90°, in order of rising 2θ:
2θ 27.94, I 12.1; 2θ 28.30, I 100.0; 2θ 28.60, I 29.6; 2θ 28.99, I 10.3; 2θ 46.85, I 21.3; 2θ 47.18, I 55.7; 2θ 47.75, I 12.9; 2θ 55.95, I 44.7; 2θ 56.27, I 8.1; 2θ 87.75, I 8.8



Entry 5:
ZnS: computed X-ray diffraction stick pattern (Cu Kα (λ = 1.5418 Å)), based on a structure optimized by DFT (GGA-PBE).

Crystal structure
```
ZnS
1.0
3.8515 0.0000 0.0000
-1.9257 3.3355 0.0000
0.0000 0.0000 75.5390
Zn S
24 24
Direct
0.0000 0.0000 0.0000
0.0000 0.0000 0.0834
0.0000 0.0000 0.2084
0.0000 0.0000 0.3334
0.0000 0.0000 0.4584
0.0000 0.0000 0.5834
0.0000 0.0000 0.7500
0.0000 0.0000 0.8750
0.3333 0.6667 0.1250
0.3333 0.6667 0.2917
0.3333 0.6667 0.3750
0.3333 0.6667 0.5000
0.3333 0.6667 0.6250
0.3333 0.6667 0.7084
0.3333 0.6667 0.8334
0.3333 0.6667 0.9584
0.6667 0.3333 0.0417
0.6667 0.3333 0.1667
0.6667 0.3333 0.2501
0.6667 0.3333 0.4167
0.6667 0.3333 0.5417
0.6667 0.3333 0.6667
0.6667 0.3333 0.7917
0.6667 0.3333 0.9167
0.0000 0.0000 0.0312
0.0000 0.0000 0.1146
0.0000 0.0000 0.2397
0.0000 0.0000 0.3646
0.0000 0.0000 0.4896
0.0000 0.0000 0.6146
0.0000 0.0000 0.7813
0.0000 0.0000 0.9063
0.3333 0.6667 0.1563
0.3333 0.6667 0.3229
0.3333 0.6667 0.4063
0.3333 0.6667 0.5313
0.3333 0.6667 0.6562
0.3333 0.6667 0.7396
0.3333 0.6667 0.8646
0.3333 0.6667 0.9896
0.6667 0.3333 0.0729
0.6667 0.3333 0.1979
0.6667 0.3333 0.2813
0.6667 0.3333 0.4479
0.6667 0.3333 0.5729
0.6667 0.3333 0.6980
0.6667 0.3333 0.8229
0.6667 0.3333 0.9480
```

Most intense lines, 10° ≤ 2θ ≤ 90°, in order of rising 2θ:
2θ 27.67, I 12.5; 2θ 28.00, I 21.4; 2θ 28.37, I 100.0; 2θ 28.80, I 28.6; 2θ 32.88, I 8.2; 2θ 47.19, I 79.7; 2θ 48.22, I 13.2; 2θ 55.98, I 53.4; 2θ 76.16, I 10.8; 2θ 87.78, I 19.1



Entry 6:
ZnS: computed X-ray diffraction stick pattern (Cu Kα (λ = 1.5418 Å)), based on a structure optimized by DFT (GGA-PBE).

Crystal structure
```
ZnS
1.0
3.8536 0.0000 0.0000
-1.9268 3.3373 0.0000
0.0000 0.0000 63.0042
Zn S
20 20
Direct
0.0000 0.0000 0.0000
0.0000 0.0000 0.1000
0.0000 0.0000 0.2500
0.0000 0.0000 0.3500
0.0000 0.0000 0.5000
0.0000 0.0000 0.6000
0.0000 0.0000 0.8000
0.3333 0.6667 0.0500
0.3333 0.6667 0.2000
0.3333 0.6667 0.4000
0.3333 0.6667 0.5500
0.3333 0.6667 0.7000
0.3333 0.6667 0.9000
0.6667 0.3333 0.1500
0.6667 0.3333 0.3000
0.6667 0.3333 0.4500
0.6667 0.3333 0.6500
0.6667 0.3333 0.7500
0.6667 0.3333 0.8500
0.6667 0.3333 0.9500
0.0000 0.0000 0.0375
0.0000 0.0000 0.1375
0.0000 0.0000 0.2875
0.0000 0.0000 0.3875
0.0000 0.0000 0.5375
0.0000 0.0000 0.6375
0.0000 0.0000 0.8375
0.3333 0.6667 0.0875
0.3333 0.6667 0.2375
0.3333 0.6667 0.4375
0.3333 0.6667 0.5875
0.3333 0.6667 0.7375
0.3333 0.6667 0.9375
0.6667 0.3333 0.1875
0.6667 0.3333 0.3375
0.6667 0.3333 0.4875
0.6667 0.3333 0.6875
0.6667 0.3333 0.7875
0.6667 0.3333 0.8875
0.6667 0.3333 0.9875
```

Most intense lines, 10° ≤ 2θ ≤ 90°, in order of rising 2θ:
2θ 27.32, I 36.5; 2θ 28.06, I 91.9; 2θ 28.33, I 82.2; 2θ 29.06, I 33.9; 2θ 30.31, I 26.8; 2θ 46.30, I 34.1; 2θ 47.17, I 100.0; 2θ 48.81, I 17.0; 2θ 51.41, I 19.1; 2θ 55.94, I 67.1